Computed XRD peak list
Compound: Ti5Zn3In3
Radiation: Cu Kα, 1.54184 Å
Structure: the PBE geometry in Alexandria
Neutral-atom scattering factors, no anomalous dispersion.

Atomic structure:
a b c (Å): 5.290 5.485 7.216
angles (deg): 104.06 95.80 92.76
Atoms (fractional coordinates):
Ti 0.000 0.000 0.000
Ti 0.111 0.791 0.656
Ti 0.311 0.905 0.339
Ti 0.603 0.547 0.553
Ti 0.813 0.880 0.329
Zn 0.135 0.283 0.671
Zn 0.552 0.283 0.163
Zn 0.933 0.512 0.971
In 0.073 0.400 0.327
In 0.471 0.725 0.956
In 0.622 0.091 0.711

Principal peaks in the range 10 to 90 degrees two-theta, low angle first:
d_spacing	Rel. int.
3.311	42.3
2.714	34.2
2.624	72.5
2.380	42.1
2.366	35.6
2.318	53.7
2.297	100.0
2.285	67.9
2.237	42.0
2.221	47.1
2.215	29.8
2.188	96.8



Computed XRD peak list
Compound: Ca2PrSe3
Radiation: Cu Kα, 1.54184 Å
Structure: the PBE geometry in Alexandria
Neutral-atom scattering factors, no anomalous dispersion.

Atomic structure:
a b c (Å): 7.344 7.344 7.344
angles (deg): 146.74 131.81 59.81
Atoms (fractional coordinates):
Ca 0.167 0.167 0.000
Ca 0.833 0.833 0.000
Pr 0.500 0.500 0.000
Se 0.000 0.500 0.500
Se 0.329 0.829 0.500
Se 0.671 0.171 0.500

Principal peaks in the range 10 to 90 degrees two-theta, low angle first:
d_spacing	Rel. int.
5.424	17.3
2.998	50.6
2.987	100.0
2.122	18.5
2.116	73.7
2.102	18.1
1.732	19.3
1.721	19.1
1.340	24.7
1.337	16.0
1.224	17.9
1.216	11.8



Computed XRD peak list
Compound: Ce4CoSi6Au
Radiation: Cu Kα, 1.54184 Å
Structure: the PBE geometry in Alexandria
Neutral-atom scattering factors, no anomalous dispersion.

Atomic structure:
a b c (Å): 8.157 8.157 4.184
angles (deg): 90.00 90.00 120.00
Atoms (fractional coordinates):
Ce 0.000 0.000 0.000
Ce 0.017 0.509 0.000
Ce 0.491 0.509 0.000
Ce 0.491 0.983 0.000
Co 0.333 0.667 0.500
Si 0.172 0.343 0.500
Si 0.172 0.828 0.500
Si 0.322 0.161 0.500
Si 0.657 0.828 0.500
Si 0.839 0.161 0.500
Si 0.839 0.678 0.500
Au 0.667 0.333 0.500

Principal peaks in the range 10 to 90 degrees two-theta, low angle first:
d_spacing	Rel. int.
7.065	12.6
4.079	9.8
3.600	10.5
3.532	20.9
2.921	8.1
2.699	100.0
2.092	12.9
2.039	34.6
1.627	20.7
1.460	23.4
1.297	10.1
1.272	17.5



Computed XRD peak list
Compound: SrCaPRh
Radiation: Cu Kα, 1.54184 Å
Structure: the PBE geometry in Alexandria
Neutral-atom scattering factors, no anomalous dispersion.

Atomic structure:
a b c (Å): 4.353 5.473 5.473
angles (deg): 48.75 90.00 90.00
Atoms (fractional coordinates):
Sr 0.000 0.000 0.000
Ca 0.500 0.289 0.289
P 0.500 0.605 0.605
Rh 0.000 0.699 0.699

Principal peaks in the range 10 to 90 degrees two-theta, low angle first:
d_spacing	Rel. int.
4.985	25.0
4.353	38.7
4.114	31.7
2.990	100.0
2.677	74.5
2.280	65.0
2.259	34.5
2.177	30.8
2.163	32.0
1.689	35.9
1.567	21.1
1.562	22.3



Computed XRD peak list
Compound: Tb7Pr3Er2
Radiation: Cu Kα, 1.54184 Å
Structure: the PBE geometry in Alexandria
Neutral-atom scattering factors, no anomalous dispersion.

Atomic structure:
a b c (Å): 5.871 3.585 18.904
angles (deg): 90.00 92.99 90.00
Atoms (fractional coordinates):
Tb 0.000 0.000 0.000
Tb 0.193 0.500 0.177
Tb 0.257 0.500 0.537
Tb 0.309 0.000 0.855
Tb 0.691 0.000 0.145
Tb 0.743 0.500 0.463
Tb 0.807 0.500 0.823
Pr 0.221 0.000 0.366
Pr 0.500 0.500 0.000
Pr 0.779 0.000 0.634
Er 0.289 0.500 0.707
Er 0.711 0.500 0.293

Principal peaks in the range 10 to 90 degrees two-theta, low angle first:
d_spacing	Rel. int.
3.146	28.6
2.932	57.5
2.920	35.9
2.887	100.0
2.855	30.2
2.836	48.2
2.781	20.6
2.716	39.5
2.600	41.2
1.793	21.0
1.701	32.3
1.515	24.3



Computed XRD peak list
Compound: LiScHg4
Radiation: Cu Kα, 1.54184 Å
Structure: the PBE geometry in Alexandria
Neutral-atom scattering factors, no anomalous dispersion.

Atomic structure:
a b c (Å): 5.339 5.339 5.284
angles (deg): 90.21 90.21 59.19
Atoms (fractional coordinates):
Li 0.000 0.000 0.000
Sc 0.500 0.500 0.500
Hg 0.163 0.163 0.499
Hg 0.336 0.336 0.000
Hg 0.664 0.664 0.000
Hg 0.837 0.837 0.501

Principal peaks in the range 10 to 90 degrees two-theta, low angle first:
d_spacing	Rel. int.
4.643	28.2
3.463	73.0
2.639	100.0
2.386	75.4
2.379	74.8
2.293	14.7
1.866	36.5
1.742	10.3
1.548	9.9
1.473	16.9
1.468	50.3
1.335	12.1



Computed XRD peak list
Compound: Er3TmRu3
Radiation: Cu Kα, 1.54184 Å
Structure: the PBE geometry in Alexandria
Neutral-atom scattering factors, no anomalous dispersion.

Atomic structure:
a b c (Å): 6.756 6.756 6.678
angles (deg): 90.06 90.06 89.76
Atoms (fractional coordinates):
Er 0.245 0.755 0.000
Er 0.246 0.246 0.001
Er 0.247 0.753 0.500
Er 0.753 0.247 0.500
Er 0.754 0.754 0.999
Er 0.755 0.245 0.000
Tm 0.243 0.243 0.501
Tm 0.757 0.757 0.499
Ru 0.000 0.000 0.250
Ru 0.000 0.000 0.750
Ru 0.000 0.500 0.251
Ru 0.000 0.500 0.749
Ru 0.500 0.000 0.251
Ru 0.500 0.000 0.749

Principal peaks in the range 10 to 90 degrees two-theta, low angle first:
d_spacing	Rel. int.
6.756	10.9
3.378	16.6
3.339	8.1
2.394	25.5
2.384	25.3
2.375	100.0
1.689	17.5
1.669	8.5
1.378	17.6
1.375	17.6
1.368	13.0
1.187	5.5



Computed XRD peak list
Compound: Ca2B8O15
Radiation: Cu Kα, 1.54184 Å
Structure: the PBE geometry in Alexandria
Neutral-atom scattering factors, no anomalous dispersion.

Atomic structure:
a b c (Å): 6.518 9.462 10.163
angles (deg): 116.34 91.28 98.71
Atoms (fractional coordinates):
Ca 0.021 0.190 0.220
Ca 0.341 0.179 0.667
Ca 0.659 0.821 0.333
Ca 0.979 0.810 0.780
B 0.040 0.166 0.923
B 0.083 0.404 0.640
B 0.224 0.823 0.467
B 0.264 0.532 0.337
B 0.267 0.949 0.285
B 0.308 0.748 0.026
B 0.424 0.609 0.769
B 0.428 0.833 0.686
B 0.572 0.167 0.314
B 0.576 0.391 0.231
B 0.692 0.252 0.974
B 0.733 0.051 0.715
B 0.736 0.468 0.663
B 0.776 0.177 0.533
B 0.917 0.596 0.360
B 0.960 0.834 0.077
O 0.004 0.242 0.569
O 0.048 0.934 0.232
O 0.049 0.486 0.339
O 0.112 0.758 0.978
O 0.153 0.081 0.977
O 0.198 0.275 0.897
O 0.282 0.894 0.630
O 0.287 0.952 0.428
O 0.289 0.447 0.689
O 0.339 0.719 0.725
O 0.348 0.691 0.391
O 0.361 0.110 0.298
O 0.363 0.405 0.276
O 0.371 0.822 0.177
O 0.434 0.664 0.928
O 0.566 0.336 0.072
O 0.629 0.178 0.823
O 0.637 0.595 0.724
O 0.639 0.890 0.702
O 0.652 0.309 0.609
O 0.661 0.281 0.275
O 0.711 0.553 0.311
O 0.713 0.048 0.572
O 0.718 0.106 0.370
O 0.802 0.725 0.103
O 0.847 0.919 0.023
O 0.888 0.242 0.022
O 0.951 0.514 0.661
O 0.952 0.066 0.768
O 0.996 0.758 0.431

Principal peaks in the range 10 to 90 degrees two-theta, low angle first:
d_spacing	Rel. int.
8.340	100.0
4.869	48.6
4.680	58.3
4.531	87.6
4.170	55.7
3.370	78.5
3.080	44.2
3.033	42.8
3.021	60.8
2.137	44.0
2.033	49.0
1.960	50.6



Computed XRD peak list
Compound: PuThPa2Pt4
Radiation: Cu Kα, 1.54184 Å
Structure: the PBE geometry in Alexandria
Neutral-atom scattering factors, no anomalous dispersion.

Atomic structure:
a b c (Å): 7.198 7.046 5.805
angles (deg): 67.33 64.59 48.08
Atoms (fractional coordinates):
Pu 0.000 0.000 0.000
Th 0.500 0.500 0.500
Pa 0.250 0.250 0.250
Pa 0.750 0.750 0.750
Pt 0.000 0.000 0.500
Pt 0.249 0.249 0.751
Pt 0.500 0.500 0.000
Pt 0.751 0.751 0.249

Principal peaks in the range 10 to 90 degrees two-theta, low angle first:
d_spacing	Rel. int.
2.910	50.6
2.896	100.0
2.117	21.0
2.053	76.7
1.985	17.4
1.712	22.0
1.640	19.2
1.448	12.8
1.300	17.9
1.297	17.8
1.210	14.4
1.159	12.7



Computed XRD peak list
Compound: Tl2CuO3
Radiation: Cu Kα, 1.54184 Å
Structure: the PBE geometry in Alexandria
Neutral-atom scattering factors, no anomalous dispersion.

Atomic structure:
a b c (Å): 6.342 6.342 6.342
angles (deg): 146.12 57.72 134.73
Atoms (fractional coordinates):
Tl 0.161 0.000 0.161
Tl 0.839 0.000 0.839
Cu 0.529 0.029 0.500
O 0.135 0.786 0.349
O 0.436 0.786 0.651
O 0.695 0.695 0.000

Principal peaks in the range 10 to 90 degrees two-theta, low angle first:
d_spacing	Rel. int.
4.468	11.0
3.506	6.8
2.948	100.0
2.616	28.7
2.440	12.1
1.851	7.4
1.848	7.8
1.784	26.5
1.567	29.9
1.489	12.5
1.474	10.5
1.160	11.0



Computed XRD peak list
Compound: PmU3Tl3Se8
Radiation: Cu Kα, 1.54184 Å
Structure: the PBE geometry in Alexandria
Neutral-atom scattering factors, no anomalous dispersion.

Atomic structure:
a b c (Å): 9.198 9.198 9.198
angles (deg): 54.16 54.16 54.16
Atoms (fractional coordinates):
Pm 0.000 0.000 0.000
U 0.000 0.500 0.500
U 0.500 0.000 0.500
U 0.500 0.500 0.000
Tl 0.000 0.000 0.500
Tl 0.000 0.500 0.000
Tl 0.500 0.000 0.000
Se 0.239 0.239 0.727
Se 0.239 0.727 0.239
Se 0.265 0.265 0.265
Se 0.273 0.761 0.761
Se 0.727 0.239 0.239
Se 0.735 0.735 0.735
Se 0.761 0.273 0.761
Se 0.761 0.761 0.273

Principal peaks in the range 10 to 90 degrees two-theta, low angle first:
d_spacing	Rel. int.
7.825	11.9
6.170	9.7
3.912	11.2
3.465	20.4
3.085	100.0
2.281	38.4
2.094	35.4
1.732	18.9
1.542	11.4
1.429	14.9
1.335	16.1
1.242	11.4



Computed XRD peak list
Compound: Ce4PuOs
Radiation: Cu Kα, 1.54184 Å
Structure: the PBE geometry in Alexandria
Neutral-atom scattering factors, no anomalous dispersion.

Atomic structure:
a b c (Å): 7.031 8.432 12.063
angles (deg): 90.00 122.48 90.00
Atoms (fractional coordinates):
Ce 0.004 0.123 0.377
Ce 0.004 0.377 0.877
Ce 0.137 0.206 0.160
Ce 0.137 0.294 0.660
Ce 0.399 0.672 0.894
Ce 0.399 0.828 0.394
Ce 0.425 0.582 0.615
Ce 0.425 0.918 0.115
Ce 0.575 0.082 0.885
Ce 0.575 0.418 0.385
Ce 0.601 0.172 0.606
Ce 0.601 0.328 0.106
Ce 0.863 0.706 0.340
Ce 0.863 0.794 0.840
Ce 0.996 0.623 0.123
Ce 0.996 0.877 0.623
Pu 0.114 0.055 0.890
Pu 0.114 0.445 0.390
Pu 0.886 0.555 0.610
Pu 0.886 0.945 0.110
Os 0.361 0.556 0.114
Os 0.361 0.944 0.614
Os 0.639 0.056 0.386
Os 0.639 0.444 0.886

Principal peaks in the range 10 to 90 degrees two-theta, low angle first:
d_spacing	Rel. int.
3.781	27.1
3.626	25.8
2.987	41.8
2.908	23.2
2.819	35.9
2.797	60.0
2.698	82.6
2.673	41.0
2.544	91.8
2.460	100.0
1.890	28.2
1.634	20.3